[1]
This entry pairs a crystal structure of VO2 with its calculated powder XRD pattern. Radiation: Cu Kα (weighted mean of Kα1 and Kα2). Structure: a PBE+U-relaxed structure.
Kinematic intensities with the Lorentz-polarization factor, no thermal factor.

Top 10 peaks for 5 to 70 degrees two-theta, by angle:
two_theta  I (rel.)
17.63  86
20.72  100
31.88  41
32.72  61
41.99  49
42.99  31
45.87  26
50.39  24
63.29  17
64.79  45

Crystal structure
Cell lengths 4.961, 4.961, 10.059 Å; angles 90.00, 90.00, 145.55 degrees
Sites, in units of the cell vectors:
V1 0.124 0.876 0.500
V2 0.141 0.859 0.841
V3 0.859 0.141 0.341
V4 0.876 0.124 0.000
O1 0.067 0.933 0.663
O2 0.242 0.758 0.308
O3 0.245 0.755 0.015
O4 0.497 0.503 0.411
O5 0.503 0.497 0.911
O6 0.755 0.245 0.515
O7 0.758 0.242 0.808
O8 0.933 0.067 0.163



[2]
This entry pairs a crystal structure of V4O7 with its calculated powder XRD pattern. Radiation: Cu Kα (weighted mean of Kα1 and Kα2). Structure: a PBE+U-relaxed structure.
Kinematic intensities with the Lorentz-polarization factor, no thermal factor.

Top 10 peaks for 5 to 70 degrees two-theta, by angle:
two_theta  I (rel.)
12.29  45
16.77  67
22.19  92
24.73  100
25.75  45
34.01  42
35.02  44
36.89  81
44.11  55
45.58  69

Crystal structure
Cell lengths 5.844, 6.270, 7.684 Å; angles 74.37, 74.91, 81.30 degrees
Sites, in units of the cell vectors:
V1 0.026 0.086 0.162
V2 0.153 0.597 0.289
V3 0.338 0.163 0.393
V4 0.401 0.253 0.741
V5 0.599 0.747 0.259
V6 0.662 0.837 0.607
V7 0.847 0.403 0.711
V8 0.974 0.914 0.838
O1 0.080 0.312 0.267
O2 0.099 0.787 0.078
O3 0.179 0.384 0.567
O4 0.265 0.869 0.336
O5 0.324 0.988 0.666
O6 0.329 0.171 0.973
O7 0.470 0.469 0.274
O8 0.530 0.531 0.726
O9 0.671 0.829 0.027
O10 0.676 0.012 0.334
O11 0.735 0.131 0.664
O12 0.821 0.616 0.433
O13 0.901 0.213 0.922
O14 0.920 0.688 0.733



[3]
This entry pairs a crystal structure of VO2 with its calculated powder XRD pattern. Radiation: Cu Kα (weighted mean of Kα1 and Kα2). Structure: a PBE+U-relaxed structure.
Kinematic intensities with the Lorentz-polarization factor, no thermal factor.

Top 10 peaks for 5 to 70 degrees two-theta, by angle:
two_theta  I (rel.)
18.60  100
21.32  72
30.47  38
35.58  76
35.70  40
35.94  15
43.43  62
57.69  27
62.79  36
63.42  31

Crystal structure
Cell lengths 5.867, 5.867, 5.867 Å; angles 60.59, 60.59, 60.59 degrees
Sites, in units of the cell vectors:
V1 0.000 0.000 0.000
V2 0.387 0.387 0.857
V3 0.387 0.857 0.387
V4 0.857 0.387 0.387
O1 0.122 0.122 0.623
O2 0.122 0.623 0.122
O3 0.135 0.135 0.135
O4 0.170 0.635 0.635
O5 0.622 0.622 0.622
O6 0.623 0.122 0.122
O7 0.635 0.170 0.635
O8 0.635 0.635 0.170



[4]
This entry pairs a crystal structure of VO2 with its calculated powder XRD pattern. Radiation: Cu Kα (weighted mean of Kα1 and Kα2). Structure: a PBE+U-relaxed structure.
Kinematic intensities with the Lorentz-polarization factor, no thermal factor.

Top 10 peaks for 5 to 70 degrees two-theta, by angle:
two_theta  I (rel.)
16.74  19
19.59  76
20.30  100
33.85  28
35.12  31
35.53  35
35.92  28
50.65  14
61.39  20
62.61  14

Crystal structure
Cell lengths 3.021, 10.594, 8.753 Å; angles 90.00, 91.30, 90.00 degrees
Sites, in units of the cell vectors:
V1 0.000 0.131 0.000
V2 0.000 0.869 0.500
V3 0.481 0.149 0.635
V4 0.481 0.851 0.135
V5 0.512 0.359 0.119
V6 0.512 0.641 0.619
V7 0.968 0.358 0.488
V8 0.968 0.642 0.988
O1 0.466 0.234 0.449
O2 0.466 0.766 0.949
O3 0.470 0.468 0.535
O4 0.470 0.532 0.035
O5 0.485 0.115 0.850
O6 0.485 0.885 0.350
O7 0.504 0.175 0.133
O8 0.504 0.825 0.633
O9 0.952 0.390 0.268
O10 0.952 0.610 0.768
O11 0.977 0.035 0.579
O12 0.977 0.965 0.079
O13 0.981 0.270 0.673
O14 0.981 0.730 0.173
O15 0.996 0.319 0.987
O16 0.996 0.681 0.487



[5]
This entry pairs a crystal structure of VO2 with its calculated powder XRD pattern. Radiation: Cu Kα (weighted mean of Kα1 and Kα2). Structure: a PBE+U-relaxed structure.
Kinematic intensities with the Lorentz-polarization factor, no thermal factor.

Top 10 peaks for 5 to 70 degrees two-theta, by angle:
two_theta  I (rel.)
18.12  100
18.55  61
21.08  21
35.02  32
35.24  28
35.72  16
42.88  58
43.00  29
61.66  19
62.89  17

Crystal structure
Cell lengths 6.007, 6.015, 14.349 Å; angles 89.89, 89.86, 60.08 degrees
Sites, in units of the cell vectors:
V1 0.000 0.000 0.000
V2 0.000 0.464 0.001
V3 0.153 0.659 0.669
V4 0.328 0.812 0.330
V5 0.329 0.327 0.341
V6 0.465 0.002 0.999
V7 0.496 0.486 0.503
V8 0.649 0.659 0.672
V9 0.650 0.153 0.669
V10 0.810 0.330 0.329
V11 0.824 0.823 0.210
V12 0.829 0.813 0.841
O1 0.108 0.679 0.917
O2 0.154 0.156 0.924
O3 0.158 0.161 0.384
O4 0.202 0.622 0.417
O5 0.312 0.839 0.059
O6 0.315 0.314 0.059
O7 0.335 0.779 0.593
O8 0.346 0.339 0.595
O9 0.476 0.478 0.262
O10 0.494 0.489 0.737
O11 0.513 0.978 0.253
O12 0.536 0.960 0.749
O13 0.626 0.198 0.415
O14 0.630 0.632 0.411
O15 0.682 0.678 0.917
O16 0.684 0.101 0.918
O17 0.773 0.349 0.589
O18 0.814 0.822 0.602
O19 0.823 0.821 0.080
O20 0.837 0.316 0.060
O21 0.959 0.968 0.747
O22 0.970 0.537 0.749
O23 0.979 0.513 0.253
O24 0.980 0.980 0.253



[6]
This entry pairs a crystal structure of V2O5 with its calculated powder XRD pattern. Radiation: Cu Kα (weighted mean of Kα1 and Kα2). Structure: a PBE+U-relaxed structure.
Kinematic intensities with the Lorentz-polarization factor, no thermal factor.

Top 10 peaks for 5 to 70 degrees two-theta, by angle:
two_theta  I (rel.)
16.67  100
21.41  61
24.37  20
31.59  23
31.98  8
36.76  44
46.35  13
47.93  28
49.10  17
56.02  12

Crystal structure
Cell lengths 11.422, 2.888, 5.363 Å; angles 90.00, 97.33, 90.00 degrees
Sites, in units of the cell vectors:
V1 0.140 0.000 0.373
V2 0.360 0.500 0.627
V3 0.640 0.500 0.373
V4 0.860 0.000 0.627
O1 0.000 0.000 0.500
O2 0.112 0.500 0.168
O3 0.194 0.500 0.630
O4 0.306 0.000 0.370
O5 0.388 0.000 0.832
O6 0.500 0.500 0.500
O7 0.612 0.000 0.168
O8 0.694 0.000 0.630
O9 0.806 0.500 0.370
O10 0.888 0.500 0.832